# NaTa3O7
Theoretical PXRD pattern, Cu Kα (weighted mean of Kα1 and Kα2). Input: the GGA-PBE geometry in Alexandria.

The 10 most intense peaks (2θ = 10–90°), low angle first:
2θ = 14.68°, I = 25, hkl 0 2 0
2θ = 16.38°, I = 38, hkl 1 1 0
2θ = 22.93°, I = 100, hkl 0 0 1
2θ = 29.55°, I = 93, hkl 2 0 0
2θ = 37.73°, I = 67, hkl 0 4 1
2θ = 42.28°, I = 54, hkl 2 4 0
2θ = 46.85°, I = 24, hkl 0 0 2
2θ = 48.64°, I = 54, hkl 2 4 1
2θ = 56.38°, I = 31, hkl 2 0 2
2θ = 64.94°, I = 29, hkl 2 4 2

Structure:
```
data_NaTa3O7
_chemical_formula_sum 'Na2 Ta6 O14'
_cell_length_a 6.055
_cell_length_b 12.072
_cell_length_c 3.878
_cell_angle_alpha 90.00
_cell_angle_beta 90.00
_cell_angle_gamma 90.00
_symmetry_space_group_name_H-M 'C m m m'
_symmetry_Int_Tables_number 65
_symmetry_space_group_name_Hall '-C 2 2'
loop_
_atom_site_label
_atom_site_fract_x
_atom_site_fract_y
_atom_site_fract_z
Na1 0.000 0.000 0.000
Ta1 0.000 0.250 0.000
Ta2 0.000 0.500 0.000
O1 0.000 0.232 0.500
O2 0.000 0.500 0.500
O3 0.237 0.374 0.000
```